Record 1
Simulated powder diffraction line list
Compound: ZnTcOs
Radiation: copper Kα
Structure: DFT lattice parameters and positions (GGA-PBE)
No peak broadening, texture or thermal motion is included.

Structural model:
```
data_ZnTcOs
_symmetry_space_group_name_H-M 'I m m 2'
_symmetry_Int_Tables_number 44
_symmetry_space_group_name_Hall 'I 2 -2'
_cell_length_a 2.8221
_cell_length_b 3.6811
_cell_length_c 8.2370
_cell_angle_alpha 90.00
_cell_angle_beta 90.00
_cell_angle_gamma 90.00
loop_
_atom_site_label
_atom_site_fract_x
_atom_site_fract_y
_atom_site_fract_z
Zn1 0.0000 0.0000 0.0000
Tc1 0.0000 0.0000 0.6740
Os1 0.0000 0.0000 0.3276
```

Main lines, low angle first (15 to 90 degrees two-theta):
Position (°2θ)	I/Imax
21.6	26
26.5	22
40.3	100
41.0	94
46.1	82
49.5	27
70.0	38
80.9	25
82.4	24
87.0	22

Record 2
Simulated powder diffraction line list
Compound: Te3Os5
Radiation: copper Kα
Structure: DFT lattice parameters and positions (GGA-PBE)
No peak broadening, texture or thermal motion is included.

Structural model:
```
data_Te3Os5
_symmetry_space_group_name_H-M 'C 1 m 1'
_symmetry_Int_Tables_number 8
_symmetry_space_group_name_Hall 'C -2y'
_cell_length_a 5.2809
_cell_length_b 18.8310
_cell_length_c 7.5500
_cell_angle_alpha 90.00
_cell_angle_beta 109.10
_cell_angle_gamma 90.00
loop_
_atom_site_label
_atom_site_fract_x
_atom_site_fract_y
_atom_site_fract_z
Te1 0.0000 0.0000 0.0000
Te2 0.0823 0.5000 0.1788
Te3 0.2924 0.1772 0.5959
Te4 0.3753 0.3301 0.0862
Os1 0.0137 0.4249 0.8462
Os2 0.1318 0.0000 0.5732
Os3 0.1454 0.5000 0.5959
Os4 0.2682 0.0770 0.3327
Os5 0.3141 0.3963 0.4124
Os6 0.4815 0.3966 0.7708
```

Main lines, low angle first (15 to 90 degrees two-theta):
Position (°2θ)	I/Imax
31.5	37
34.0	20
38.2	100
39.0	22
39.1	29
42.1	36
43.1	28
44.9	49
47.2	20
47.7	21

Record 3
Simulated powder diffraction line list
Compound: TeOs
Radiation: copper Kα
Structure: DFT lattice parameters and positions (GGA-PBE)
No peak broadening, texture or thermal motion is included.

Structural model:
```
data_TeOs
_symmetry_space_group_name_H-M 'P -3 m 1'
_symmetry_Int_Tables_number 164
_symmetry_space_group_name_Hall '-P 3 2"'
_cell_length_a 3.7740
_cell_length_b 3.7740
_cell_length_c 8.2694
_cell_angle_alpha 90.00
_cell_angle_beta 90.00
_cell_angle_gamma 120.00
loop_
_atom_site_label
_atom_site_fract_x
_atom_site_fract_y
_atom_site_fract_z
Te1 0.3333 0.6667 0.2231
Os1 0.3333 0.6667 0.5762
```

Main lines, low angle first (15 to 90 degrees two-theta):
Position (°2θ)	I/Imax
27.3	61
29.4	26
35.0	75
42.9	100
48.2	52
49.5	21
61.0	15
66.5	27
76.6	15
86.3	28

Record 4
Simulated powder diffraction line list
Compound: TeOs5
Radiation: copper Kα
Structure: DFT lattice parameters and positions (GGA-PBE)
No peak broadening, texture or thermal motion is included.

Structural model:
```
data_TeOs5
_symmetry_space_group_name_H-M 'C 1 m 1'
_symmetry_Int_Tables_number 8
_symmetry_space_group_name_Hall 'C -2y'
_cell_length_a 10.1584
_cell_length_b 2.8611
_cell_length_c 6.6883
_cell_angle_alpha 90.00
_cell_angle_beta 106.06
_cell_angle_gamma 90.00
loop_
_atom_site_label
_atom_site_fract_x
_atom_site_fract_y
_atom_site_fract_z
Te1 0.0000 0.0000 0.0000
Os1 0.1376 0.5000 0.6864
Os2 0.1946 0.5000 0.3339
Os3 0.2658 0.0000 0.0287
Os4 0.3512 0.0000 0.6473
Os5 0.4647 0.5000 0.3843
```

Main lines, low angle first (15 to 90 degrees two-theta):
Position (°2θ)	I/Imax
36.6	66
39.7	74
41.6	100
42.1	96
42.2	60
43.1	50
65.2	20
67.1	32
73.0	25
79.1	20

Record 5
Simulated powder diffraction line list
Compound: Th4TeOs2
Radiation: copper Kα
Structure: DFT lattice parameters and positions (GGA-PBE)
No peak broadening, texture or thermal motion is included.

Structural model:
```
data_Th4TeOs2
_symmetry_space_group_name_H-M 'R -3 m'
_symmetry_Int_Tables_number 166
_symmetry_space_group_name_Hall '-R 3 2"'
_cell_length_a 4.2105
_cell_length_b 4.2105
_cell_length_c 41.0023
_cell_angle_alpha 90.00
_cell_angle_beta 90.00
_cell_angle_gamma 120.00
loop_
_atom_site_label
_atom_site_fract_x
_atom_site_fract_y
_atom_site_fract_z
Th1 0.0000 0.0000 0.1284
Th2 0.0000 0.0000 0.2775
Te1 0.0000 0.0000 0.0000
Os1 0.0000 0.0000 0.4275
```

Main lines, low angle first (15 to 90 degrees two-theta):
Position (°2θ)	I/Imax
28.8	100
37.7	19
39.5	26
43.0	41
51.1	15
52.6	19
59.8	9
70.1	17
76.4	7
77.5	10

Record 6
Simulated powder diffraction line list
Compound: YTe2Os2
Radiation: copper Kα
Structure: DFT lattice parameters and positions (GGA-PBE)
No peak broadening, texture or thermal motion is included.

Structural model:
```
data_YTe2Os2
_symmetry_space_group_name_H-M 'I 4/m m m'
_symmetry_Int_Tables_number 139
_symmetry_space_group_name_Hall '-I 4 2'
_cell_length_a 4.2660
_cell_length_b 4.2660
_cell_length_c 12.2529
_cell_angle_alpha 90.00
_cell_angle_beta 90.00
_cell_angle_gamma 90.00
loop_
_atom_site_label
_atom_site_fract_x
_atom_site_fract_y
_atom_site_fract_z
Y1 0.0000 0.0000 0.0000
Te1 0.0000 0.0000 0.3708
Os1 0.0000 0.5000 0.2500
```

Main lines, low angle first (15 to 90 degrees two-theta):
Position (°2θ)	I/Imax
30.3	49
33.1	100
42.0	72
42.4	63
53.0	20
54.2	31
61.5	21
71.6	22
76.6	22
77.3	24